# 1
Calculated powder diffractogram of Zn6Pd12Pt for Cu Kα, from a PBE-relaxed structure.
Lines closer than 0.1° are merged.

The 10 most intense peaks (2θ = 10–90°), most intense first:
38.96 deg, 2.312 Å, intensity 100
43.03 deg, 2.102 Å, intensity 94
40.10 deg, 2.249 Å, intensity 62
43.41 deg, 2.084 Å, intensity 25
49.19 deg, 1.852 Å, intensity 24
75.38 deg, 1.261 Å, intensity 23
44.42 deg, 2.039 Å, intensity 22
26.73 deg, 3.335 Å, intensity 19
67.40 deg, 1.389 Å, intensity 17
74.31 deg, 1.276 Å, intensity 16

Cell and atoms:
```
Zn6Pd12Pt
1.0
5.5566 3.2081 2.7824
-5.5566 3.2081 2.7824
0.0000 -6.4162 2.7824
Zn Pd Pt
6 12 1
direct
0.0769 0.3436 0.3436 Zn
0.3436 0.0769 0.3436 Zn
0.3436 0.3436 0.0769 Zn
0.6564 0.6564 0.9231 Zn
0.6564 0.9231 0.6564 Zn
0.9231 0.6564 0.6564 Zn
0.0599 0.0599 0.6966 Pd
0.0599 0.6966 0.0599 Pd
0.2358 0.5000 0.7642 Pd
0.2358 0.7642 0.5000 Pd
0.3034 0.9401 0.9401 Pd
0.5000 0.2358 0.7642 Pd
0.5000 0.7642 0.2358 Pd
0.6966 0.0599 0.0599 Pd
0.7642 0.2358 0.5000 Pd
0.7642 0.5000 0.2358 Pd
0.9401 0.3034 0.9401 Pd
0.9401 0.9401 0.3034 Pd
0.5000 0.5000 0.5000 Pt
```

# 2
Calculated powder diffractogram of ZrZnPdPt for Cu Kα, from a PBE-relaxed structure.
Lines closer than 0.1° are merged.

The 10 most intense peaks (2θ = 10–90°), most intense first:
38.60 deg, 2.332 Å, intensity 100
43.80 deg, 2.067 Å, intensity 35
76.99 deg, 1.238 Å, intensity 26
66.16 deg, 1.412 Å, intensity 20
46.97 deg, 1.935 Å, intensity 14
63.67 deg, 1.462 Å, intensity 11
81.59 deg, 1.180 Å, intensity 11
24.41 deg, 3.646 Å, intensity 11
82.76 deg, 1.166 Å, intensity 11
22.99 deg, 3.869 Å, intensity 8

Cell and atoms:
```
ZrZnPdPt
1.0
-2.0670 2.0670 3.8692
2.0670 -2.0670 3.8692
2.0670 2.0670 -3.8692
Zr Zn Pd Pt
1 1 1 1
direct
0.0000 0.0000 0.0000 Zr
0.5000 0.5000 0.0000 Zn
0.2500 0.7500 0.5000 Pd
0.7500 0.2500 0.5000 Pt
```

# 3
Calculated powder diffractogram of ZrPd5Pt2 for Cu Kα, from a PBE-relaxed structure.
Lines closer than 0.1° are merged.

The 10 most intense peaks (2θ = 10–90°), most intense first:
41.50 deg, 2.176 Å, intensity 100
39.22 deg, 2.297 Å, intensity 85
43.95 deg, 2.060 Å, intensity 52
41.59 deg, 2.171 Å, intensity 50
43.39 deg, 2.085 Å, intensity 49
43.61 deg, 2.075 Å, intensity 49
12.85 deg, 6.891 Å, intensity 33
37.68 deg, 2.387 Å, intensity 30
37.81 deg, 2.380 Å, intensity 29
37.85 deg, 2.377 Å, intensity 25

Cell and atoms:
```
ZrPd5Pt2
1.0
4.7806 0.0000 0.0000
2.3718 4.1631 0.0000
0.9265 1.3506 13.7828
Zr Pd Pt
2 10 4
direct
0.0037 0.4129 0.2506 Zr
0.9963 0.5871 0.7494 Zr
0.0030 0.2953 0.5859 Pd
0.0104 0.1883 0.9122 Pd
0.3342 0.7503 0.2490 Pd
0.3368 0.5284 0.9138 Pd
0.3389 0.0287 0.4128 Pd
0.6611 0.9713 0.5872 Pd
0.6632 0.4716 0.0862 Pd
0.6658 0.2497 0.7510 Pd
0.9896 0.8117 0.0878 Pd
0.9970 0.7047 0.4141 Pd
0.3311 0.1416 0.0883 Pt
0.3379 0.6361 0.5903 Pt
0.6621 0.3639 0.4097 Pt
0.6689 0.8584 0.9117 Pt
```